This entry pairs a crystal structure of Cs3TbBr6 with its computed powder X-ray diffraction pattern. Radiation: copper Kα. Structure: a cell relaxed with GGA-PBE.

The 6 most intense peaks (2θ from 10° to 90°), low angle first:
2θ = 20.39°, rel. 72; 2θ = 25.04°, rel. 38; 2θ = 28.99°, rel. 100; 2θ = 35.70°, rel. 30; 2θ = 41.46°, rel. 71; 2θ = 68.07°, rel. 28

Cell and atoms:
```
data_Cs3TbBr6
_chemical_formula_sum 'Cs12 Tb4 Br24'
_symmetry_space_group_name_H-M 'F m -3 m'
_symmetry_Int_Tables_number 225
_symmetry_space_group_name_Hall '-F 4 2 3'
_cell_length_a 12.3201
_cell_length_b 12.3201
_cell_length_c 12.3201
_cell_angle_alpha 90.00
_cell_angle_beta 90.00
_cell_angle_gamma 90.00
loop_
_atom_site_label
_atom_site_type_symbol
_atom_site_fract_x
_atom_site_fract_y
_atom_site_fract_z
_atom_site_occupancy
Cs1 Cs 0.0000 0.0000 0.0000 1
Cs2 Cs 0.2500 0.2500 0.2500 1
Tb1 Tb 0.0000 0.0000 0.5000 1
Br1 Br 0.0000 0.0000 0.2729 1
```

---

This entry pairs a crystal structure of Ba5Os3ClO15 with its computed powder X-ray diffraction pattern. Radiation: copper Kα. Structure: a cell relaxed with GGA-PBE.

The 6 most intense peaks (2θ from 10° to 90°), low angle first:
2θ = 22.78°, rel. 29; 2θ = 27.49°, rel. 100; 2θ = 28.12°, rel. 98; 2θ = 28.37°, rel. 85; 2θ = 36.19°, rel. 28; 2θ = 40.37°, rel. 29

Cell and atoms:
```
data_Ba5Os3ClO15
_chemical_formula_sum 'Ba10 Os6 Cl2 O30'
_symmetry_space_group_name_H-M 'P 63 c m'
_symmetry_Int_Tables_number 185
_symmetry_space_group_name_Hall 'P 6c -2'
_cell_length_a 10.8977
_cell_length_b 10.8977
_cell_length_c 7.8074
_cell_angle_alpha 90.00
_cell_angle_beta 90.00
_cell_angle_gamma 120.00
loop_
_atom_site_label
_atom_site_type_symbol
_atom_site_fract_x
_atom_site_fract_y
_atom_site_fract_z
_atom_site_occupancy
Ba1 Ba 0.0000 0.2600 0.0000 1
Ba2 Ba 0.3333 0.6667 0.2641 1
Os1 Os 0.0000 0.3875 0.5500 1
Cl1 Cl 0.0000 0.0000 0.2294 1
O1 O 0.0000 0.2904 0.3722 1
O2 O 0.1313 0.5523 0.0178 1
O3 O 0.1333 0.3875 0.6989 1
```

---

This entry pairs a crystal structure of ZnCuAgGeTe4 with its computed powder X-ray diffraction pattern. Radiation: copper Kα. Structure: a cell relaxed with GGA-PBE.

The 6 most intense peaks (2θ from 10° to 90°), low angle first:
2θ = 24.88°, rel. 100; 2θ = 41.07°, rel. 25; 2θ = 41.25°, rel. 49; 2θ = 48.62°, rel. 31; 2θ = 48.92°, rel. 16; 2θ = 74.96°, rel. 15

Cell and atoms:
```
data_ZnCuAgGeTe4
_chemical_formula_sum 'Zn2 Cu2 Ag2 Ge2 Te8'
_symmetry_space_group_name_H-M 'I -4'
_symmetry_Int_Tables_number 82
_symmetry_space_group_name_Hall 'I -4'
_cell_length_a 6.2155
_cell_length_b 6.2155
_cell_length_c 12.3312
_cell_angle_alpha 90.00
_cell_angle_beta 90.00
_cell_angle_gamma 90.00
loop_
_atom_site_label
_atom_site_type_symbol
_atom_site_fract_x
_atom_site_fract_y
_atom_site_fract_z
_atom_site_occupancy
Zn1 Zn 0.0000 0.0000 0.0000 1
Cu1 Cu 0.0000 0.5000 0.7500 1
Ag1 Ag 0.0000 0.5000 0.2500 1
Ge1 Ge 0.0000 0.0000 0.5000 1
Te1 Te 0.2353 0.7392 0.6272 1
```

---

This entry pairs a crystal structure of CsKAu3 with its computed powder X-ray diffraction pattern. Radiation: copper Kα. Structure: a cell relaxed with GGA-PBE.

The 6 most intense peaks (2θ from 10° to 90°), low angle first:
2θ = 16.30°, rel. 92; 2θ = 28.84°, rel. 55; 2θ = 32.93°, rel. 34; 2θ = 35.28°, rel. 40; 2θ = 37.59°, rel. 100; 2θ = 56.54°, rel. 41

Cell and atoms:
```
data_CsKAu3
_chemical_formula_sum 'Cs2 K2 Au6'
_symmetry_space_group_name_H-M 'I m m 2'
_symmetry_Int_Tables_number 44
_symmetry_space_group_name_Hall 'I 2 -2'
_cell_length_a 5.0874
_cell_length_b 5.5988
_cell_length_c 10.8785
_cell_angle_alpha 90.00
_cell_angle_beta 90.00
_cell_angle_gamma 90.00
loop_
_atom_site_label
_atom_site_type_symbol
_atom_site_fract_x
_atom_site_fract_y
_atom_site_fract_z
_atom_site_occupancy
Cs1 Cs 0.0000 0.0000 0.0000 1
K1 K 0.0000 0.0000 0.6146 1
Au1 Au 0.0000 0.2523 0.2997 1
Au2 Au 0.0000 0.5000 0.7953 1
```

---

This entry pairs a crystal structure of YTmMg4 with its computed powder X-ray diffraction pattern. Radiation: copper Kα. Structure: a cell relaxed with GGA-PBE.

The 6 most intense peaks (2θ from 10° to 90°), low angle first:
2θ = 19.69°, rel. 85; 2θ = 33.70°, rel. 100; 2θ = 34.45°, rel. 64; 2θ = 48.97°, rel. 35; 2θ = 61.24°, rel. 35; 2θ = 67.29°, rel. 18

Cell and atoms:
```
data_YTmMg4
_chemical_formula_sum 'Y1 Tm1 Mg4'
_symmetry_space_group_name_H-M 'P 1 2/m 1'
_symmetry_Int_Tables_number 10
_symmetry_space_group_name_Hall '-P 2y'
_cell_length_a 3.2927
_cell_length_b 5.2086
_cell_length_c 9.0145
_cell_angle_alpha 90.00
_cell_angle_beta 90.00
_cell_angle_gamma 90.00
loop_
_atom_site_label
_atom_site_type_symbol
_atom_site_fract_x
_atom_site_fract_y
_atom_site_fract_z
_atom_site_occupancy
Y1 Y 0.0000 0.0000 0.0000 1
Tm1 Tm 0.0000 0.5000 0.5000 1
Mg1 Mg 0.4959 0.0000 0.6651 1
Mg2 Mg 0.4960 0.5000 0.1683 1
```

---

This entry pairs a crystal structure of NaZrAlPd with its computed powder X-ray diffraction pattern. Radiation: copper Kα. Structure: a cell relaxed with GGA-PBE.

The 6 most intense peaks (2θ from 10° to 90°), low angle first:
2θ = 22.96°, rel. 44; 2θ = 37.94°, rel. 100; 2θ = 44.81°, rel. 22; 2θ = 54.74°, rel. 17; 2θ = 68.53°, rel. 33; 2θ = 81.10°, rel. 10

Cell and atoms:
```
data_NaZrAlPd
_chemical_formula_sum 'Na4 Zr4 Al4 Pd4'
_symmetry_space_group_name_H-M 'F -4 3 m'
_symmetry_Int_Tables_number 216
_symmetry_space_group_name_Hall 'F -4 2 3'
_cell_length_a 6.7077
_cell_length_b 6.7077
_cell_length_c 6.7077
_cell_angle_alpha 90.00
_cell_angle_beta 90.00
_cell_angle_gamma 90.00
loop_
_atom_site_label
_atom_site_type_symbol
_atom_site_fract_x
_atom_site_fract_y
_atom_site_fract_z
_atom_site_occupancy
Na1 Na 0.0000 0.0000 0.0000 1
Zr1 Zr 0.0000 0.0000 0.5000 1
Al1 Al 0.2500 0.2500 0.7500 1
Pd1 Pd 0.2500 0.2500 0.2500 1
```

---

This entry pairs a crystal structure of PrGdSbBr2 with its computed powder X-ray diffraction pattern. Radiation: copper Kα. Structure: a cell relaxed with GGA-PBE.

The 6 most intense peaks (2θ from 10° to 90°), low angle first:
2θ = 28.81°, rel. 100; 2θ = 40.64°, rel. 39; 2θ = 41.75°, rel. 36; 2θ = 51.51°, rel. 20; 2θ = 66.81°, rel. 16; 2θ = 68.38°, rel. 17

Cell and atoms:
```
data_PrGdSbBr2
_chemical_formula_sum 'Pr1 Gd1 Sb1 Br2'
_symmetry_space_group_name_H-M 'P 3 m 1'
_symmetry_Int_Tables_number 156
_symmetry_space_group_name_Hall 'P 3 -2"'
_cell_length_a 4.3274
_cell_length_b 4.3274
_cell_length_c 11.0207
_cell_angle_alpha 90.00
_cell_angle_beta 90.00
_cell_angle_gamma 120.00
loop_
_atom_site_label
_atom_site_type_symbol
_atom_site_fract_x
_atom_site_fract_y
_atom_site_fract_z
_atom_site_occupancy
Pr1 Pr 0.0000 0.0000 0.0000 1
Gd1 Gd 0.6667 0.3333 0.6763 1
Sb1 Sb 0.3333 0.6667 0.8313 1
Br1 Br 0.0000 0.0000 0.5229 1
Br2 Br 0.6667 0.3333 0.1629 1
```

---

This entry pairs a crystal structure of PrNdMg4Pt2 with its computed powder X-ray diffraction pattern. Radiation: copper Kα. Structure: a cell relaxed with GGA-PBE.

The 6 most intense peaks (2θ from 10° to 90°), low angle first:
2θ = 21.56°, rel. 76; 2θ = 24.94°, rel. 36; 2θ = 31.32°, rel. 46; 2θ = 34.97°, rel. 100; 2θ = 36.12°, rel. 31; 2θ = 47.19°, rel. 40

Cell and atoms:
```
data_PrNdMg4Pt2
_chemical_formula_sum 'Pr2 Nd2 Mg8 Pt4'
_symmetry_space_group_name_H-M 'A m m 2'
_symmetry_Int_Tables_number 38
_symmetry_space_group_name_Hall 'A 2 -2'
_cell_length_a 8.2448
_cell_length_b 4.2820
_cell_length_c 10.4331
_cell_angle_alpha 90.00
_cell_angle_beta 90.00
_cell_angle_gamma 90.00
loop_
_atom_site_label
_atom_site_type_symbol
_atom_site_fract_x
_atom_site_fract_y
_atom_site_fract_z
_atom_site_occupancy
Pr1 Pr 0.0000 0.0000 0.0000 1
Nd1 Nd 0.5000 0.0000 0.1224 1
Mg1 Mg 0.1959 0.0000 0.7139 1
Mg2 Mg 0.3052 0.0000 0.4076 1
Pt1 Pt 0.0000 0.0000 0.2887 1
Pt2 Pt 0.5000 0.0000 0.8326 1
```

---

This entry pairs a crystal structure of Ir2OsW with its computed powder X-ray diffraction pattern. Radiation: copper Kα. Structure: a cell relaxed with GGA-PBE.

The 6 most intense peaks (2θ from 10° to 90°), low angle first:
2θ = 37.58°, rel. 25; 2θ = 40.86°, rel. 39; 2θ = 42.66°, rel. 52; 2θ = 42.98°, rel. 100; 2θ = 75.86°, rel. 19; 2θ = 81.87°, rel. 21

Cell and atoms:
```
data_Ir2OsW
_chemical_formula_sum 'Ir8 Os4 W4'
_symmetry_space_group_name_H-M 'C m c m'
_symmetry_Int_Tables_number 63
_symmetry_space_group_name_Hall '-C 2c 2'
_cell_length_a 5.5103
_cell_length_b 9.6619
_cell_length_c 4.4176
_cell_angle_alpha 90.00
_cell_angle_beta 90.00
_cell_angle_gamma 90.00
loop_
_atom_site_label
_atom_site_type_symbol
_atom_site_fract_x
_atom_site_fract_y
_atom_site_fract_z
_atom_site_occupancy
Ir1 Ir 0.2481 0.0833 0.2500 1
Os1 Os 0.0000 0.1664 0.7500 1
W1 W 0.0000 0.3316 0.2500 1
```

---

This entry pairs a crystal structure of Re3B2 with its computed powder X-ray diffraction pattern. Radiation: copper Kα. Structure: a cell relaxed with GGA-PBE.

The 6 most intense peaks (2θ from 10° to 90°), low angle first:
2θ = 32.40°, rel. 100; 2θ = 37.07°, rel. 88; 2θ = 42.64°, rel. 58; 2θ = 45.21°, rel. 95; 2θ = 46.48°, rel. 80; 2θ = 72.56°, rel. 36

Cell and atoms:
```
data_Re3B2
_chemical_formula_sum 'Re6 B4'
_symmetry_space_group_name_H-M 'P 4/m b m'
_symmetry_Int_Tables_number 127
_symmetry_space_group_name_Hall '-P 4 2ab'
_cell_length_a 6.1789
_cell_length_b 6.1789
_cell_length_c 2.9152
_cell_angle_alpha 90.00
_cell_angle_beta 90.00
_cell_angle_gamma 90.00
loop_
_atom_site_label
_atom_site_type_symbol
_atom_site_fract_x
_atom_site_fract_y
_atom_site_fract_z
_atom_site_occupancy
Re1 Re 0.0000 0.0000 0.0000 1
Re2 Re 0.1511 0.3489 0.5000 1
B1 B 0.1434 0.6434 0.0000 1
```

---

This entry pairs a crystal structure of NaHfCuTeSe2 with its computed powder X-ray diffraction pattern. Radiation: copper Kα. Structure: a cell relaxed with GGA-PBE.

The 6 most intense peaks (2θ from 10° to 90°), low angle first:
2θ = 12.52°, rel. 100; 2θ = 28.49°, rel. 23; 2θ = 31.14°, rel. 33; 2θ = 34.21°, rel. 22; 2θ = 34.57°, rel. 68; 2θ = 43.26°, rel. 45

Cell and atoms:
```
data_NaHfCuTeSe2
_chemical_formula_sum 'Na4 Hf4 Cu4 Te4 Se8'
_symmetry_space_group_name_H-M 'C m c m'
_symmetry_Int_Tables_number 63
_symmetry_space_group_name_Hall '-C 2c 2'
_cell_length_a 3.8609
_cell_length_b 14.1369
_cell_length_c 10.4831
_cell_angle_alpha 90.00
_cell_angle_beta 90.00
_cell_angle_gamma 90.00
loop_
_atom_site_label
_atom_site_type_symbol
_atom_site_fract_x
_atom_site_fract_y
_atom_site_fract_z
_atom_site_occupancy
Na1 Na 0.0000 0.2178 0.2500 1
Hf1 Hf 0.0000 0.0000 0.0000 1
Cu1 Cu 0.0000 0.4723 0.7500 1
Te1 Te 0.0000 0.0957 0.7500 1
Se1 Se 0.0000 0.3744 0.5605 1
```

---

This entry pairs a crystal structure of Lu3Si3Ni with its computed powder X-ray diffraction pattern. Radiation: copper Kα. Structure: a cell relaxed with GGA-PBE.

The 6 most intense peaks (2θ from 10° to 90°), low angle first:
2θ = 23.57°, rel. 59; 2θ = 28.32°, rel. 39; 2θ = 34.27°, rel. 64; 2θ = 34.46°, rel. 49; 2θ = 34.72°, rel. 100; 2θ = 43.98°, rel. 39

Cell and atoms:
```
data_Lu3Si3Ni
_chemical_formula_sum 'Lu12 Si12 Ni4'
_symmetry_space_group_name_H-M 'C 1 2/m 1'
_symmetry_Int_Tables_number 12
_symmetry_space_group_name_Hall '-C 2y'
_cell_length_a 10.1190
_cell_length_b 4.1174
_cell_length_c 13.2661
_cell_angle_alpha 90.00
_cell_angle_beta 110.39
_cell_angle_gamma 90.00
loop_
_atom_site_label
_atom_site_type_symbol
_atom_site_fract_x
_atom_site_fract_y
_atom_site_fract_z
_atom_site_occupancy
Lu1 Lu 0.0298 0.0000 0.3800 1
Lu2 Lu 0.1020 0.0000 0.9213 1
Lu3 Lu 0.2471 0.0000 0.2273 1
Si1 Si 0.0442 0.5000 0.2362 1
Si2 Si 0.1156 0.5000 0.0759 1
Si3 Si 0.1352 0.5000 0.5434 1
Ni1 Ni 0.2474 0.5000 0.4023 1
```

---

This entry pairs a crystal structure of YInGa4Ir with its computed powder X-ray diffraction pattern. Radiation: copper Kα. Structure: a cell relaxed with GGA-PBE.

The 6 most intense peaks (2θ from 10° to 90°), low angle first:
2θ = 20.03°, rel. 19; 2θ = 23.87°, rel. 42; 2θ = 38.85°, rel. 100; 2θ = 40.71°, rel. 55; 2θ = 58.93°, rel. 18; 2θ = 72.85°, rel. 30

Cell and atoms:
```
data_YInGa4Ir
_chemical_formula_sum 'Y1 In1 Ga4 Ir1'
_symmetry_space_group_name_H-M 'P 4/m m m'
_symmetry_Int_Tables_number 123
_symmetry_space_group_name_Hall '-P 4 2'
_cell_length_a 4.4330
_cell_length_b 4.4330
_cell_length_c 6.8882
_cell_angle_alpha 90.00
_cell_angle_beta 90.00
_cell_angle_gamma 90.00
loop_
_atom_site_label
_atom_site_type_symbol
_atom_site_fract_x
_atom_site_fract_y
_atom_site_fract_z
_atom_site_occupancy
Y1 Y 0.0000 0.0000 0.0000 1
In1 In 0.5000 0.5000 0.0000 1
Ga1 Ga 0.0000 0.5000 0.3068 1
Ir1 Ir 0.0000 0.0000 0.5000 1
```

---

This entry pairs a crystal structure of Zr2SiIr2 with its computed powder X-ray diffraction pattern. Radiation: copper Kα. Structure: a cell relaxed with GGA-PBE.

The 6 most intense peaks (2θ from 10° to 90°), low angle first:
2θ = 21.34°, rel. 100; 2θ = 32.61°, rel. 40; 2θ = 32.79°, rel. 34; 2θ = 39.62°, rel. 60; 2θ = 45.01°, rel. 67; 2θ = 45.43°, rel. 29

Cell and atoms:
```
data_Zr2SiIr2
_chemical_formula_sum 'Zr4 Si2 Ir4'
_symmetry_space_group_name_H-M 'I 4/m m m'
_symmetry_Int_Tables_number 139
_symmetry_space_group_name_Hall '-I 4 2'
_cell_length_a 4.5499
_cell_length_b 4.5499
_cell_length_c 10.3319
_cell_angle_alpha 90.00
_cell_angle_beta 90.00
_cell_angle_gamma 90.00
loop_
_atom_site_label
_atom_site_type_symbol
_atom_site_fract_x
_atom_site_fract_y
_atom_site_fract_z
_atom_site_occupancy
Zr1 Zr 0.0000 0.5000 0.2500 1
Si1 Si 0.0000 0.0000 0.0000 1
Ir1 Ir 0.0000 0.0000 0.3811 1
```